The following is a simulated powder diffractogram of CsPmB2H8. It was derived from a cell relaxed with PBE, using Cu Kα.
Neutral-atom scattering factors, no anomalous dispersion.

Structure:
Cell lengths 9.0807, 9.0807, 9.0807 Å; angles 26.63, 26.63, 26.63 degrees
Positions (direct):
Cs  0.0000  0.0000  0.0000
Pm  0.5000  0.5000  0.5000
B  0.2344  0.2344  0.2344
B  0.7656  0.7656  0.7656
H  0.0560  0.0560  0.5431
H  0.0560  0.5431  0.0560
H  0.2810  0.2810  0.2810
H  0.4569  0.9440  0.9440
H  0.5431  0.0560  0.0560
H  0.7190  0.7190  0.7190
H  0.9440  0.4569  0.9440
H  0.9440  0.9440  0.4569

Peak list (6 most intense, 10° ≤ 2θ ≤ 80°, in order of rising 2θ)
2θ = 20.3°, I = 55; 2θ = 25.5°, I = 94; 2θ = 28.1°, I = 100; 2θ = 37.0°, I = 47; 2θ = 43.3°, I = 30; 2θ = 48.2°, I = 36

---

The following is a simulated powder diffractogram of CsRbB2H8. It was derived from a cell relaxed with PBE, using Cu Kα.
Neutral-atom scattering factors, no anomalous dispersion.

Structure:
Cell lengths 4.9186, 4.9186, 8.4190 Å; angles 90.00, 90.00, 120.00 degrees
Positions (direct):
Cs  0.0000  0.0000  0.0000
Rb  0.0000  0.0000  0.5000
B  0.3333  0.6667  0.7469
B  0.6667  0.3333  0.2531
H  0.0594  0.5297  0.6995
H  0.3333  0.6667  0.8928
H  0.4703  0.5297  0.6995
H  0.4703  0.9406  0.6995
H  0.5297  0.0594  0.3005
H  0.5297  0.4703  0.3005
H  0.6667  0.3333  0.1072
H  0.9406  0.4703  0.3005

Peak list (6 most intense, 10° ≤ 2θ ≤ 80°, in order of rising 2θ)
2θ = 20.9°, I = 95; 2θ = 21.1°, I = 27; 2θ = 29.8°, I = 100; 2θ = 36.5°, I = 30; 2θ = 42.6°, I = 30; 2θ = 47.9°, I = 24

---

The following is a simulated powder diffractogram of CsSmB2H8. It was derived from a cell relaxed with PBE, using Cu Kα.
Neutral-atom scattering factors, no anomalous dispersion.

Structure:
Cell lengths 9.0660, 9.0660, 9.0660 Å; angles 26.58, 26.58, 26.58 degrees
Positions (direct):
Cs  0.0000  0.0000  0.0000
Sm  0.5000  0.5000  0.5000
B  0.2338  0.2338  0.2338
B  0.7662  0.7662  0.7662
H  0.0548  0.0548  0.5436
H  0.0548  0.5436  0.0548
H  0.2805  0.2805  0.2805
H  0.4564  0.9452  0.9452
H  0.5436  0.0548  0.0548
H  0.7195  0.7195  0.7195
H  0.9452  0.4564  0.9452
H  0.9452  0.9452  0.4564

Peak list (6 most intense, 10° ≤ 2θ ≤ 80°, in order of rising 2θ)
2θ = 20.3°, I = 56; 2θ = 25.6°, I = 94; 2θ = 28.2°, I = 100; 2θ = 37.0°, I = 47; 2θ = 43.4°, I = 30; 2θ = 48.4°, I = 36

---

The following is a simulated powder diffractogram of CsSrB3H12. It was derived from a cell relaxed with PBE, using Cu Kα.
Neutral-atom scattering factors, no anomalous dispersion.

Structure:
Cell lengths 7.9669, 8.2322, 6.0855 Å; angles 90.00, 90.00, 90.00 degrees
Positions (direct):
Cs  0.0000  0.0000  0.0502
Cs  0.5000  0.5000  0.9498
Sr  0.0000  0.5000  0.4866
Sr  0.5000  0.0000  0.5134
B  0.0000  0.5000  0.9868
B  0.1928  0.8103  0.5675
B  0.3072  0.3103  0.4325
B  0.5000  0.0000  0.0132
B  0.6928  0.6897  0.4325
B  0.8072  0.1897  0.5675
H  0.0717  0.6028  0.0996
H  0.0732  0.7648  0.6769
H  0.1063  0.4311  0.8736
H  0.1772  0.2689  0.3393
H  0.1833  0.9588  0.5515
H  0.1911  0.7498  0.3827
H  0.3089  0.2498  0.6173
H  0.3167  0.4588  0.4485
H  0.3228  0.7689  0.6607
H  0.3937  0.9311  0.1264
H  0.4268  0.2648  0.3231
H  0.4283  0.1028  0.9004
H  0.5717  0.8972  0.9004
H  0.5732  0.7352  0.3231
H  0.6063  0.0689  0.1264
H  0.6772  0.2311  0.6607
H  0.6833  0.5412  0.4485
H  0.6911  0.7502  0.6173
H  0.8089  0.2502  0.3827
H  0.8167  0.0412  0.5515
H  0.8228  0.7311  0.3393
H  0.8937  0.5689  0.8736
H  0.9268  0.2352  0.6769
H  0.9283  0.3972  0.0996

Peak list (6 most intense, 10° ≤ 2θ ≤ 80°, in order of rising 2θ)
2θ = 21.3°, I = 100; 2θ = 21.6°, I = 28; 2θ = 22.3°, I = 27; 2θ = 31.3°, I = 34; 2θ = 37.7°, I = 26; 2θ = 38.6°, I = 27

---

The following is a simulated powder diffractogram of Cs2HgB9Se9. It was derived from a cell relaxed with PBE, using Cu Kα.
Neutral-atom scattering factors, no anomalous dispersion.

Structure:
Cell lengths 10.2616, 11.2089, 11.4376 Å; angles 76.82, 89.63, 64.00 degrees
Positions (direct):
Cs  0.1856  0.1496  0.0186
Cs  0.2071  0.6677  0.4931
Cs  0.7929  0.3323  0.5069
Cs  0.8144  0.8504  0.9814
Hg  0.3194  0.1922  0.5916
Hg  0.6806  0.8078  0.4084
B  0.2572  0.9130  0.7928
B  0.2582  0.4096  0.2824
B  0.3429  0.4921  0.0400
B  0.3425  0.6215  0.9141
B  0.3862  0.6229  0.0645
B  0.4214  0.4460  0.9068
B  0.4427  0.7637  0.2323
B  0.4885  0.4512  0.1488
B  0.4878  0.6582  0.9477
B  0.5122  0.3418  0.0523
B  0.5115  0.5488  0.8512
B  0.5573  0.2363  0.7677
B  0.5786  0.5540  0.0932
B  0.6138  0.3771  0.9355
B  0.6575  0.3785  0.0859
B  0.6571  0.5079  0.9600
B  0.7418  0.5904  0.7176
B  0.7428  0.0870  0.2072
Se  0.1375  0.1012  0.7021
Se  0.1375  0.3772  0.4053
Se  0.1712  0.4725  0.1124
Se  0.1712  0.7833  0.8081
Se  0.2712  0.7679  0.1517
Se  0.3583  0.3625  0.7933
Se  0.4080  0.8860  0.3377
Se  0.4511  0.8528  0.8741
Se  0.4528  0.3917  0.3209
Se  0.5472  0.6083  0.6791
Se  0.5489  0.1472  0.1259
Se  0.5920  0.1140  0.6623
Se  0.6417  0.6375  0.2067
Se  0.7288  0.2321  0.8483
Se  0.8288  0.2167  0.1919
Se  0.8288  0.5275  0.8876
Se  0.8625  0.6228  0.5947
Se  0.8625  0.8988  0.2979

Peak list (6 most intense, 10° ≤ 2θ ≤ 80°, in order of rising 2θ)
2θ = 19.3°, I = 69; 2θ = 21.0°, I = 100; 2θ = 25.3°, I = 73; 2θ = 26.1°, I = 68; 2θ = 31.8°, I = 99; 2θ = 31.9°, I = 70

---

The following is a simulated powder diffractogram of CsHoBSe4. It was derived from a cell relaxed with PBE, using Cu Kα.
Neutral-atom scattering factors, no anomalous dispersion.

Structure:
Cell lengths 6.8849, 5.8835, 10.0935 Å; angles 90.00, 102.92, 90.00 degrees
Positions (direct):
Cs  0.2467  0.2500  0.4623
Cs  0.7533  0.7500  0.5377
Ho  0.2532  0.2500  0.9525
Ho  0.7468  0.7500  0.0475
B  0.2438  0.7500  0.1575
B  0.7562  0.2500  0.8425
Se  0.0579  0.7500  0.2868
Se  0.1139  0.7500  0.9528
Se  0.4783  0.5028  0.1965
Se  0.4783  0.9972  0.1965
Se  0.5217  0.0028  0.8035
Se  0.5217  0.4972  0.8035
Se  0.8861  0.2500  0.0472
Se  0.9421  0.2500  0.7132

Peak list (6 most intense, 10° ≤ 2θ ≤ 80°, in order of rising 2θ)
2θ = 20.1°, I = 75; 2θ = 28.7°, I = 100; 2θ = 29.1°, I = 70; 2θ = 35.6°, I = 82; 2θ = 36.6°, I = 59; 2θ = 43.3°, I = 72

---

The following is a simulated powder diffractogram of Cs2MgBI6. It was derived from a cell relaxed with PBE, using Cu Kα.
Neutral-atom scattering factors, no anomalous dispersion.

Structure:
Cell lengths 8.1087, 8.1087, 8.1087 Å; angles 60.00, 60.00, 60.00 degrees
Positions (direct):
Cs  0.2500  0.2500  0.2500
Cs  0.7500  0.7500  0.7500
Mg  0.0000  0.0000  0.0000
B  0.5000  0.5000  0.5000
I  0.2610  0.2610  0.7390
I  0.2610  0.7390  0.2610
I  0.2610  0.7390  0.7390
I  0.7390  0.2610  0.2610
I  0.7390  0.2610  0.7390
I  0.7390  0.7390  0.2610

Peak list (6 most intense, 10° ≤ 2θ ≤ 80°, in order of rising 2θ)
2θ = 26.9°, I = 100; 2θ = 31.2°, I = 58; 2θ = 44.7°, I = 42; 2θ = 53.0°, I = 43; 2θ = 71.8°, I = 17; 2θ = 73.9°, I = 18

---

The following is a simulated powder diffractogram of Cs2BI6N. It was derived from a cell relaxed with PBE, using Cu Kα.
Neutral-atom scattering factors, no anomalous dispersion.

Structure:
Cell lengths 8.3320, 8.3320, 8.3320 Å; angles 126.81, 126.81, 78.56 degrees
Positions (direct):
Cs  0.2500  0.7500  0.5000
Cs  0.7500  0.2500  0.5000
B  0.0000  0.0000  0.0000
I  0.2324  0.2324  0.4649
I  0.2324  0.7676  0.0000
I  0.3036  0.3036  0.0000
I  0.6964  0.6964  0.0000
I  0.7676  0.2324  0.0000
I  0.7676  0.7676  0.5351
N  0.5000  0.5000  0.0000

Peak list (6 most intense, 10° ≤ 2θ ≤ 80°, in order of rising 2θ)
2θ = 27.6°, I = 100; 2θ = 34.0°, I = 30; 2θ = 44.4°, I = 22; 2θ = 48.9°, I = 22; 2θ = 57.0°, I = 27; 2θ = 78.3°, I = 10